No. 1
This entry pairs a crystal structure of Pr5Nd3Tl with its simulated powder XRD pattern. Radiation: Cu Kα. Structure: DFT lattice parameters and positions (PBE).
No peak broadening, texture or thermal motion is included.

Top 12 peaks for 2θ = 10–80°, in order of rising 2θ:
d_spacing, 2θ (°), I (rel.)
4.216, 21.07, 69.6
3.401, 26.21, 36.9
3.301, 27.01, 84.8
3.102, 28.78, 84.9
3.048, 29.30, 64.0
2.955, 30.25, 95.2
2.944, 30.36, 100.0
2.876, 31.10, 89.2
2.731, 32.80, 70.5
2.416, 37.21, 52.7
2.108, 42.90, 50.4
1.717, 53.36, 38.8

Cell and atoms:
abc: 7.132 7.132 13.743
angles: 90.20 90.20 72.49
Sites, in units of the cell vectors:
Pr: 0.000 0.000 0.245
Pr: 0.000 0.000 0.755
Pr: 0.027 0.479 0.163
Pr: 0.173 0.827 0.500
Pr: 0.266 0.266 0.633
Pr: 0.479 0.027 0.163
Pr: 0.521 0.973 0.837
Pr: 0.734 0.734 0.367
Pr: 0.827 0.173 0.500
Pr: 0.973 0.521 0.837
Nd: 0.133 0.133 0.990
Nd: 0.260 0.260 0.380
Nd: 0.500 0.500 0.000
Nd: 0.500 0.500 0.500
Nd: 0.740 0.740 0.620
Nd: 0.867 0.867 0.010
Tl: 0.496 0.496 0.240
Tl: 0.504 0.504 0.760

No. 2
This entry pairs a crystal structure of PrNd4Tl7 with its simulated powder XRD pattern. Radiation: Cu Kα. Structure: DFT lattice parameters and positions (PBE).
No peak broadening, texture or thermal motion is included.

Top 12 peaks for 2θ = 10–80°, in order of rising 2θ:
d_spacing, 2θ (°), I (rel.)
4.160, 21.36, 40.2
3.183, 28.04, 30.7
3.174, 28.11, 34.4
2.958, 30.22, 61.8
2.925, 30.57, 97.6
2.650, 33.83, 100.0
2.503, 35.88, 59.2
2.421, 37.14, 64.6
2.152, 41.98, 43.2
2.080, 43.51, 51.0
1.630, 56.44, 24.9
1.398, 66.92, 26.7

Cell and atoms:
abc: 7.322 7.322 11.942
angles: 120.80 120.80 47.09
Sites, in units of the cell vectors:
Pr: 0.000 0.000 0.000
Nd: 0.270 0.270 0.664
Nd: 0.411 0.411 0.218
Nd: 0.589 0.589 0.782
Nd: 0.730 0.730 0.336
Tl: 0.080 0.080 0.319
Tl: 0.219 0.219 0.899
Tl: 0.368 0.368 0.462
Tl: 0.500 0.500 0.000
Tl: 0.632 0.632 0.538
Tl: 0.781 0.781 0.101
Tl: 0.920 0.920 0.681

No. 3
This entry pairs a crystal structure of Pr3NdTl3 with its simulated powder XRD pattern. Radiation: Cu Kα. Structure: DFT lattice parameters and positions (PBE).
No peak broadening, texture or thermal motion is included.

Top 12 peaks for 2θ = 10–80°, in order of rising 2θ:
d_spacing, 2θ (°), I (rel.)
7.837, 11.29, 12.7
2.780, 32.20, 26.9
2.762, 32.42, 26.2
2.704, 33.13, 100.0
1.959, 46.34, 19.4
1.868, 48.75, 8.6
1.590, 58.01, 20.1
1.583, 58.28, 19.4
1.550, 59.63, 9.4
1.547, 59.77, 9.2
1.352, 69.53, 11.7
1.233, 77.40, 8.4

Cell and atoms:
abc: 7.837 7.837 7.472
angles: 90.00 90.00 90.37
Sites, in units of the cell vectors:
Pr: 0.236 0.236 0.500
Pr: 0.240 0.760 0.000
Pr: 0.243 0.243 0.000
Pr: 0.757 0.757 0.000
Pr: 0.760 0.240 0.000
Pr: 0.764 0.764 0.500
Nd: 0.246 0.754 0.500
Nd: 0.754 0.246 0.500
Tl: 0.000 0.500 0.252
Tl: 0.000 0.500 0.748
Tl: 0.500 0.000 0.252
Tl: 0.500 0.000 0.748
Tl: 0.500 0.500 0.252
Tl: 0.500 0.500 0.748

What did the third record say?
This entry pairs a crystal structure of Pr3NdTl3 with its simulated powder XRD pattern. Radiation: Cu Kα. Structure: DFT lattice parameters and positions (PBE).
No peak broadening, texture or thermal motion is included.

Top 12 peaks for 2θ = 10–80°, in order of rising 2θ:
d_spacing, 2θ (°), I (rel.)
7.837, 11.29, 12.7
2.780, 32.20, 26.9
2.762, 32.42, 26.2
2.704, 33.13, 100.0
1.959, 46.34, 19.4
1.868, 48.75, 8.6
1.590, 58.01, 20.1
1.583, 58.28, 19.4
1.550, 59.63, 9.4
1.547, 59.77, 9.2
1.352, 69.53, 11.7
1.233, 77.40, 8.4

Cell and atoms:
abc: 7.837 7.837 7.472
angles: 90.00 90.00 90.37
Sites, in units of the cell vectors:
Pr: 0.236 0.236 0.500
Pr: 0.240 0.760 0.000
Pr: 0.243 0.243 0.000
Pr: 0.757 0.757 0.000
Pr: 0.760 0.240 0.000
Pr: 0.764 0.764 0.500
Nd: 0.246 0.754 0.500
Nd: 0.754 0.246 0.500
Tl: 0.000 0.500 0.252
Tl: 0.000 0.500 0.748
Tl: 0.500 0.000 0.252
Tl: 0.500 0.000 0.748
Tl: 0.500 0.500 0.252
Tl: 0.500 0.500 0.748